# Sm2HoIn9
Calculated PXRD pattern, Cu Kα (weighted mean of Kα1 and Kα2). Input: DFT lattice parameters and positions (PBE).
Lines closer than 0.1° are merged.

Peak list (10 most intense, 2θ from 15° to 90°, low angle first)
2θ 19.02, I 1.6
2θ 27.03, I 1.3
2θ 33.26, I 100.0
2θ 38.60, I 49.8
2θ 43.37, I 0.8
2θ 47.75, I 0.6
2θ 55.73, I 33.4
2θ 66.46, I 38.8
2θ 69.84, I 11.2
2θ 82.74, I 5.3

Cell lengths 4.6659, 4.6659, 13.9944 Å; angles 90.00, 90.00, 90.00 degrees
Fractional positions:
Sm 0.0000 0.0000 0.1678
Sm 0.0000 0.0000 0.8322
Ho 0.0000 0.0000 0.5000
In 0.0000 0.5000 0.0000
In 0.0000 0.5000 0.3360
In 0.0000 0.5000 0.6640
In 0.5000 0.0000 0.0000
In 0.5000 0.0000 0.3360
In 0.5000 0.0000 0.6640
In 0.5000 0.5000 0.1672
In 0.5000 0.5000 0.5000
In 0.5000 0.5000 0.8328